# 1
Theoretical powder diffractogram of NaSr6 for a wavelength of 1.5418 Å, from a structure optimized by DFT (GGA-PBE).
Neutral-atom scattering factors, no anomalous dispersion.

Atomic structure:
```
data_NaSr6
_chemical_formula_sum 'Na3 Sr18'
_cell_length_a 17.5921
_cell_length_b 17.5921
_cell_length_c 4.1157
_cell_angle_alpha 90.00
_cell_angle_beta 90.00
_cell_angle_gamma 120.00
_space_group_name_H-M_alt 'R -3'
_space_group_IT_number 148
_space_group_name_Hall '-R 3'
loop_
_atom_site_label
_atom_site_type_symbol
_atom_site_fract_x
_atom_site_fract_y
_atom_site_fract_z
_atom_site_occupancy
Na1 Na 0.0000 0.0000 0.0000 1
Sr1 Sr 0.0441 0.8099 0.7014 1
```

Largest 12 diffraction maxima, low angle first, 10° ≤ 2θ ≤ 90°:
8.796 Å, intensity 9, (1 1 0)
3.348 Å, intensity 100, (3 -1 1)
3.325 Å, intensity 98, (4 1 0)
2.359 Å, intensity 36, (2 4 1)
1.938 Å, intensity 17, (1 2 2)
1.924 Å, intensity 38, (7 0 1)
1.919 Å, intensity 21, (3 6 0)
1.674 Å, intensity 12, (6 -2 2)
1.662 Å, intensity 13, (8 2 0)
1.495 Å, intensity 15, (5 3 2)
1.489 Å, intensity 17, (6 5 1)
1.257 Å, intensity 19, (7 7 0)

---

# 2
Theoretical powder diffractogram of Sm2Ho3Al2 for a wavelength of 1.5418 Å, from a structure optimized by DFT (GGA-PBE).
Neutral-atom scattering factors, no anomalous dispersion.

Atomic structure:
```
data_Sm2Ho3Al2
_chemical_formula_sum 'Sm4 Ho6 Al4'
_cell_length_a 9.178
_cell_length_b 5.306
_cell_length_c 8.457
_cell_angle_alpha 90.00
_cell_angle_beta 111.27
_cell_angle_gamma 90.00
_space_group_name_H-M_alt 'C 1 2/m 1'
_space_group_IT_number 12
_space_group_name_Hall '-C 2y'
loop_
_atom_site_label
_atom_site_type_symbol
_atom_site_fract_x
_atom_site_fract_y
_atom_site_fract_z
_atom_site_occupancy
Sm1 Sm 0.085 0.000 0.254 1
Ho1 Ho 0.000 0.500 0.500 1
Ho2 Ho 0.152 0.500 0.956 1
Al1 Al 0.219 0.000 0.658 1
```

Largest 12 diffraction maxima, low angle first, 10° ≤ 2θ ≤ 90°:
4.281 Å, intensity 10, (1 1 -1)
3.626 Å, intensity 14, (2 0 -2)
3.294 Å, intensity 41, (2 0 1)
2.721 Å, intensity 89, (1 1 2)
2.651 Å, intensity 100, (0 2 0)
2.065 Å, intensity 11, (2 2 1)
1.899 Å, intensity 31, (4 0 1)
1.629 Å, intensity 11, (5 1 0)
1.581 Å, intensity 19, (3 1 3)
1.544 Å, intensity 32, (1 3 2)
1.531 Å, intensity 19, (6 0 -2)
1.326 Å, intensity 12, (0 4 0)